(1)
For K2LiS2O4F2, DFT lattice parameters and positions (GGA-PBE) gives the theoretical powder X-ray diffraction pattern in this record (Cu Kα (λ = 1.5418 Å)).
Neutral-atom scattering factors, no anomalous dispersion.

Cell and atoms:
Unit cell a=5.444 b=6.723 c=7.257 alpha=101.71 beta=111.50 gamma=94.25
Space group P1 (No. 1)
Inequivalent atoms, fractional coordinates:
K1 0.000 0.000 0.000 [1 per cell]
K2 0.342 0.263 0.585 [1 per cell]
Li1 0.058 0.617 0.252 [1 per cell]
S1 0.593 0.354 0.133 [1 per cell]
S2 0.746 0.886 0.466 [1 per cell]
O1 0.487 0.158 0.967 [1 per cell]
O2 0.658 0.535 0.056 [1 per cell]
O3 0.816 0.725 0.580 [1 per cell]
O4 0.820 0.098 0.602 [1 per cell]
F1 0.144 0.364 0.246 [1 per cell]
F2 0.188 0.886 0.344 [1 per cell]

Top 6 peaks for 2θ from 5° to 70°, in order of falling intensity:
27.3°, intensity 100, (0 1 -2)
33.0°, intensity 88, (2 0 -1)
13.6°, intensity 85, (0 1 0)
20.6°, intensity 78, (1 -1 0)
22.1°, intensity 63, (1 1 -1)
33.7°, intensity 46, (0 2 1)

=====

(2)
For Sm2Co12P7, DFT lattice parameters and positions (GGA-PBE) gives the theoretical powder X-ray diffraction pattern in this record (Cu Kα (λ = 1.5418 Å)).
Neutral-atom scattering factors, no anomalous dispersion.

Cell and atoms:
Unit cell a=9.0744 b=9.0744 c=3.6233 alpha=90.00 beta=90.00 gamma=120.00
Space group P-6 (No. 174)
Inequivalent atoms, fractional coordinates:
Sm1 0.0000 0.0000 0.0000 [1 per cell]
Sm2 0.3333 0.6667 0.5000 [1 per cell]
Co1 0.0485 0.7664 0.5000 [3 per cell]
Co2 0.0994 0.3919 0.0000 [3 per cell]
Co3 0.3957 0.2140 0.0000 [3 per cell]
Co4 0.5372 0.1011 0.5000 [3 per cell]
P1 0.0700 0.6272 0.0000 [3 per cell]
P2 0.2675 0.0419 0.5000 [3 per cell]
P3 0.6667 0.3333 0.0000 [1 per cell]

Top 6 peaks for 2θ from 5° to 70°, in order of falling intensity:
39.2°, intensity 100, (1 2 1)
50.4°, intensity 17, (0 0 2)
53.4°, intensity 16, (4 1 0)
27.1°, intensity 10, (1 0 1)
30.1°, intensity 10, (1 2 0)
39.7°, intensity 10, (2 2 0)

=====

(3)
For Cu2SiP4, DFT lattice parameters and positions (GGA-PBE) gives the theoretical powder X-ray diffraction pattern in this record (Cu Kα (λ = 1.5418 Å)).
Neutral-atom scattering factors, no anomalous dispersion.

Cell and atoms:
Unit cell a=13.455 b=13.455 c=4.942 alpha=90.00 beta=90.00 gamma=90.00
Space group I4_1/a (No. 88, origin choice 2)
Inequivalent atoms, fractional coordinates:
Cu1 0.133 0.017 0.483 [16 per cell]
Si1 0.000 0.000 0.000 [8 per cell]
P1 0.006 0.372 0.296 [16 per cell]
P2 0.062 0.374 0.740 [16 per cell]

Top 6 peaks for 2θ from 5° to 70°, in order of falling intensity:
45.5°, intensity 100, (4 0 2)
30.0°, intensity 84, (3 2 1)
23.3°, intensity 65, (2 1 1)
37.8°, intensity 49, (4 4 0)
19.1°, intensity 41, (1 0 1)
42.5°, intensity 38, (6 2 0)